For BaMnTl, DFT lattice parameters and positions (PBE) gives the simulated X-ray powder pattern in this record (a wavelength of 1.5418 Å).
Peak positions follow from Bragg's law for the DFT cell and can differ from measured ones.

Crystal structure
Cell: 11.218 11.218 11.218 Å, 24.20 24.20 24.20°
Element x y z (fractional)
Ba 0.000 0.000 0.000
Ba 0.485 0.485 0.485
Mn 0.234 0.234 0.234
Mn 0.892 0.892 0.892
Tl 0.595 0.595 0.595
Tl 0.742 0.742 0.742

Top 12 peaks for 5° ≤ 2θ ≤ 70°, low angle first:
16.3°, intensity 18
22.0°, intensity 56
24.4°, intensity 45
29.1°, intensity 72
31.0°, intensity 100
32.9°, intensity 20
38.3°, intensity 90
48.8°, intensity 18
50.0°, intensity 33
51.3°, intensity 35
63.6°, intensity 16
64.7°, intensity 27